Entry 1:
PaIn2PbF8: calculated powder diffraction line list (Cu Kα (weighted mean of Kα1 and Kα2)), based on DFT lattice parameters and positions (PBE).
Neutral-atom scattering factors, no anomalous dispersion.

Cell and atoms:
Unit cell a=6.218 b=6.218 c=11.625 alpha=90.00 beta=90.00 gamma=90.00
Space group I-4m2 (No. 119)
Inequivalent atoms, fractional coordinates:
Pa: 0.000 0.000 0.000 (multiplicity 2)
In: 0.000 0.000 0.500 (multiplicity 2)
In: 0.000 0.500 0.250 (multiplicity 2)
Pb: 0.000 0.500 0.750 (multiplicity 2)
F: 0.206 0.227 0.884 (multiplicity 16)

Most intense lines, 2θ = 10–90°, low angle first:
hkl	2θ (°)	d [Å]	intensity
1 0 1	16.2	5.483	16.6
1 1 2	25.4	3.507	100.0
2 0 0	28.7	3.109	22.1
2 2 0	41.1	2.198	20.0
2 0 4	42.6	2.123	36.9
3 1 2	48.9	1.863	34.2
1 1 6	51.5	1.773	14.6
2 2 4	52.2	1.753	9.9
3 1 6	67.9	1.380	13.1
4 2 4	75.9	1.254	11.4

***

Entry 2:
InPb2F11: calculated powder diffraction line list (Cu Kα (weighted mean of Kα1 and Kα2)), based on DFT lattice parameters and positions (PBE).
Neutral-atom scattering factors, no anomalous dispersion.

Cell and atoms:
Unit cell a=7.993 b=10.061 c=10.529 alpha=90.00 beta=90.00 gamma=90.00
Space group Ibam (No. 72)
Inequivalent atoms, fractional coordinates:
In: 0.000 0.000 0.250 (multiplicity 4)
Pb: 0.146 0.317 0.000 (multiplicity 8)
F: 0.000 0.500 0.000 (multiplicity 4)
F: 0.100 0.179 0.149 (multiplicity 16)
F: 0.125 0.291 0.500 (multiplicity 8)
F: 0.221 0.066 0.363 (multiplicity 16)

Most intense lines, 2θ = 10–90°, low angle first:
hkl	2θ (°)	d [Å]	intensity
0 0 2	16.8	5.265	51.6
1 1 2	22.1	4.029	76.1
1 2 1	22.5	3.947	64.1
0 2 2	24.5	3.637	69.6
2 1 1	25.4	3.503	100.0
1 3 0	28.9	3.092	25.2
1 3 4	45.2	2.004	27.6
1 4 3	45.8	1.981	27.4
3 3 2	46.8	1.939	42.8
1 5 2	49.8	1.831	33.9

***

Entry 3:
Tl2In2PbF6: calculated powder diffraction line list (Cu Kα (weighted mean of Kα1 and Kα2)), based on DFT lattice parameters and positions (PBE).
Neutral-atom scattering factors, no anomalous dispersion.

Cell and atoms:
Unit cell a=11.264 b=6.415 c=7.513 alpha=90.00 beta=114.44 gamma=90.00
Space group C2/m (No. 12)
Inequivalent atoms, fractional coordinates:
Tl: 0.176 0.000 0.079 (multiplicity 4)
In: 0.133 0.500 0.410 (multiplicity 4)
Pb: 0.000 0.000 0.500 (multiplicity 2)
F: 0.016 0.231 0.233 (multiplicity 8)
F: 0.234 0.000 0.744 (multiplicity 4)

Most intense lines, 2θ = 10–90°, low angle first:
hkl	2θ (°)	d [Å]	intensity
1 1 0	16.3	5.439	18.4
2 0 1	25.7	3.471	25.3
3 1 -1	27.6	3.231	100.0
0 2 0	27.8	3.208	29.7
3 1 1	36.7	2.450	18.7
2 2 1	38.2	2.356	17.4
0 2 2	38.5	2.340	12.4
5 1 0	46.5	1.954	13.9
3 3 -1	49.1	1.856	22.9
2 0 3	50.0	1.824	13.5

***

Entry 4:
In2PtF: calculated powder diffraction line list (Cu Kα (weighted mean of Kα1 and Kα2)), based on DFT lattice parameters and positions (PBE).
Neutral-atom scattering factors, no anomalous dispersion.

Cell and atoms:
Unit cell a=5.773 b=5.773 c=12.239 alpha=90.00 beta=90.00 gamma=90.00
Space group I-42d (No. 122)
Inequivalent atoms, fractional coordinates:
In: 0.232 0.250 0.125 (multiplicity 8)
Pt: 0.000 0.000 0.500 (multiplicity 4)
F: 0.000 0.000 0.000 (multiplicity 4)

Most intense lines, 2θ = 10–90°, low angle first:
hkl	2θ (°)	d [Å]	intensity
1 0 1	17.0	5.222	31.6
1 1 2	26.2	3.396	100.0
1 0 3	26.8	3.332	17.1
2 1 1	35.5	2.526	17.2
2 0 4	43.1	2.100	52.0
2 2 0	44.4	2.041	23.5
1 1 6	50.0	1.825	16.9
3 1 2	52.3	1.750	28.6
3 1 6	69.0	1.360	12.2
4 2 4	80.8	1.189	15.2